Starting from the PBE geometry in Alexandria, the powder diffractogram of Na2PmUS4 was simulated for Cu Kα, 1.54184 Å.
Peak positions follow from Bragg's law for the DFT cell and can differ from measured ones.

Principal peaks in the range 2θ from 10° to 80°, low angle first:
2theta  I (rel.)
13.2  93.1
25.9  52.1
27.0  37.7
31.1  100.0
33.9  23.1
40.6  20.5
44.3  36.3
44.9  35.6
47.0  24.9
55.6  18.6

Crystal structure
Lattice parameters (Å, degrees): 6.9922 4.0369 7.1162 90.00 109.13 90.00
Space group P2/m (No. 10)
One atom of each set of equivalent atoms:
Na 0.0000 0.0000 0.0000 x1
Na 0.5000 0.5000 0.0000 x1
Pm 0.0000 0.5000 0.5000 x1
U 0.5000 0.0000 0.5000 x1
S 0.2508 0.0000 0.7333 x2
S 0.2629 0.5000 0.2700 x2

Starting from the PBE geometry in Alexandria, the powder diffractogram of K2InOF3 was simulated for Cu Kα, 1.54184 Å.
Peak positions follow from Bragg's law for the DFT cell and can differ from measured ones.

Principal peaks in the range 2θ from 10° to 80°, low angle first:
2theta  I (rel.)
13.0  100.0
21.0  35.6
22.8  33.5
28.1  55.0
29.5  52.5
29.8  86.4
39.6  29.3
40.6  32.6
44.6  24.3
50.3  28.6

Crystal structure
Lattice parameters (Å, degrees): 4.0671 4.4403 13.6483 90.00 90.00 90.00
Space group Immm (No. 71)
One atom of each set of equivalent atoms:
K 0.0000 0.0000 0.1458 x4
In 0.0000 0.0000 0.5000 x2
O 0.0000 0.5000 0.0000 x2
F 0.0000 0.0000 0.3382 x4
F 0.0000 0.5000 0.5000 x2

Starting from the PBE geometry in Alexandria, the powder diffractogram of Li2V2As2N was simulated for Cu Kα, 1.54184 Å.
Peak positions follow from Bragg's law for the DFT cell and can differ from measured ones.

Principal peaks in the range 2θ from 10° to 80°, low angle first:
2theta  I (rel.)
13.2  75.2
23.8  54.9
30.4  74.9
35.3  35.7
40.2  15.9
42.5  100.0
46.8  48.9
53.2  27.8
56.8  23.5
74.6  18.1

Crystal structure
Lattice parameters (Å, degrees): 3.8854 3.8854 13.4578 90.00 90.00 90.00
Space group I4/mmm (No. 139)
One atom of each set of equivalent atoms:
Li 0.0000 0.0000 0.1675 x4
V 0.0000 0.5000 0.0000 x4
As 0.0000 0.0000 0.3653 x4
N 0.0000 0.0000 0.0000 x2

Starting from the PBE geometry in Alexandria, the powder diffractogram of La3AlSn2Pd9 was simulated for Cu Kα, 1.54184 Å.
Peak positions follow from Bragg's law for the DFT cell and can differ from measured ones.

Principal peaks in the range 2θ from 10° to 80°, low angle first:
2theta  I (rel.)
10.0  36.0
20.2  23.6
25.9  23.7
31.7  64.7
36.4  100.0
41.0  18.2
43.3  18.0
45.2  22.8
51.6  16.7
53.3  27.9

Crystal structure
Lattice parameters (Å, degrees): 6.8789 6.8789 8.8048 90.00 90.00 120.00
Space group P-3m1 (No. 164)
One atom of each set of equivalent atoms:
La 0.0000 0.0000 0.0000 x1
La 0.3333 0.6667 0.7260 x2
Al 0.0000 0.0000 0.5000 x1
Sn 0.3333 0.6667 0.2052 x2
Pd 0.0000 0.5000 0.0000 x3
Pd 0.1308 0.2617 0.2832 x6

Starting from the PBE geometry in Alexandria, the powder diffractogram of VBr4 was simulated for Cu Kα, 1.54184 Å.
Peak positions follow from Bragg's law for the DFT cell and can differ from measured ones.

Principal peaks in the range 2θ from 10° to 80°, low angle first:
2theta  I (rel.)
16.2  34.6
25.5  100.0
28.7  22.4
31.2  10.7
40.1  12.3
41.1  13.8
42.9  27.4
49.0  20.7
52.1  11.6
53.8  10.0

Crystal structure
Lattice parameters (Å, degrees): 6.2117 6.2117 11.4786 90.00 90.00 90.00
Space group I-42m (No. 121)
One atom of each set of equivalent atoms:
V 0.0000 0.0000 0.0000 x2
Br 0.2142 0.2142 0.8852 x8

Starting from the PBE geometry in Alexandria, the powder diffractogram of Pm4DyCd2 was simulated for Cu Kα, 1.54184 Å.
Peak positions follow from Bragg's law for the DFT cell and can differ from measured ones.

Principal peaks in the range 2θ from 10° to 80°, low angle first:
2theta  I (rel.)
10.1  16.1
25.0  12.6
32.0  100.0
32.9  75.1
44.9  16.3
46.6  28.3
57.1  19.1
57.7  29.9
67.0  11.7
76.7  12.8

Crystal structure
Lattice parameters (Å, degrees): 5.5878 5.5878 26.3274 90.00 90.00 120.00
Space group R-3m (No. 166, hexagonal axes)
One atom of each set of equivalent atoms:
Pm 0.0000 0.0000 0.1300 x6
Pm 0.0000 0.0000 0.2637 x6
Dy 0.0000 0.0000 0.5000 x3
Cd 0.0000 0.0000 0.3839 x6

Starting from the PBE geometry in Alexandria, the powder diffractogram of SiOs2 was simulated for Cu Kα, 1.54184 Å.
Peak positions follow from Bragg's law for the DFT cell and can differ from measured ones.

Principal peaks in the range 2θ from 10° to 80°, low angle first:
2theta  I (rel.)
24.7  14.4
24.8  28.8
40.9  100.0
43.6  43.1
43.8  21.3
61.3  10.3
61.5  20.5
78.2  10.3
78.3  10.2
78.5  10.2

Crystal structure
Lattice parameters (Å, degrees): 2.7941 7.1972 4.1331 90.00 90.00 90.00
Space group Pnnm (No. 58)
One atom of each set of equivalent atoms:
Si 0.0000 0.0000 0.0000 x2
Os 0.2436 0.3334 0.0000 x4

What did the seventh record say?
Starting from the PBE geometry in Alexandria, the powder diffractogram of SiOs2 was simulated for Cu Kα, 1.54184 Å.
Peak positions follow from Bragg's law for the DFT cell and can differ from measured ones.

Principal peaks in the range 2θ from 10° to 80°, low angle first:
2theta  I (rel.)
24.7  14.4
24.8  28.8
40.9  100.0
43.6  43.1
43.8  21.3
61.3  10.3
61.5  20.5
78.2  10.3
78.3  10.2
78.5  10.2

Crystal structure
Lattice parameters (Å, degrees): 2.7941 7.1972 4.1331 90.00 90.00 90.00
Space group Pnnm (No. 58)
One atom of each set of equivalent atoms:
Si 0.0000 0.0000 0.0000 x2
Os 0.2436 0.3334 0.0000 x4